Starting from a crystal structure in Alexandria, relaxed with PBE, the powder XRD pattern of CeFe3H6 was calculated for λ = 1.5418 Å (Cu Kα).
Kinematic intensities with the Lorentz-polarization factor, no thermal factor.

Top 6 peaks for 2θ = 5–70°, in order of falling intensity:
2theta	Rel. int.
38.20	100
36.15	72
42.32	40
22.92	38
26.06	23
69.04	17

Cell and atoms:
Cell lengths 4.710, 4.713, 4.980 Å; angles 61.84, 89.96, 60.02 degrees
Space group P1 (No. 1)
Unique sites:
Ce1 0.000 0.000 0.000
Fe1 0.243 0.514 0.729
Fe2 0.443 0.115 0.329
Fe3 0.783 0.434 0.349
H1 0.018 0.464 0.074
H2 0.164 0.978 0.534
H3 0.513 0.322 0.536
H4 0.519 0.943 0.075
H5 0.538 0.445 0.074
H6 0.856 0.631 0.535